Record 1
Computed powder XRD pattern
Compound: Ba6NaAgN
Radiation: Cu Kα (λ = 1.5418 Å)
Structure: a PBE-relaxed structure

Structure:
abc: 8.1913 8.1913 7.6943
angles: 90.00 90.00 120.00
Space group P312 (No. 149)
Symmetry-distinct sites (fractional):
1 Ba 0.0647 0.3786 0.2173
2 Na 0.6667 0.3333 0.5000
3 Ag 0.0000 0.0000 0.0000
4 N 0.3333 0.6667 0.0000

Largest 6 diffraction maxima, sorted by position, 10° ≤ 2θ ≤ 90°:
d 7.694, 2θ = 11.50°, intensity 193, hkl 0 0 1; d 3.615, 2θ = 24.62°, intensity 1000, hkl 2 -1 1; d 2.804, 2θ = 31.92°, intensity 401, hkl 2 -1 2; d 2.532, 2θ = 35.45°, intensity 374, hkl 2 1 1; d 2.365, 2θ = 38.05°, intensity 200, hkl 3 0 0; d 2.174, 2θ = 41.54°, intensity 233, hkl 1 1 3


Record 2
Computed powder XRD pattern
Compound: CdAg2Pd6
Radiation: Cu Kα (λ = 1.5418 Å)
Structure: a PBE-relaxed structure

Structure:
abc: 8.511 8.511 4.048
angles: 90.00 90.00 90.00
Space group P4_2/mnm (No. 136)
Symmetry-distinct sites (fractional):
1 Cd 0.000 0.000 0.000
2 Ag 0.172 0.172 0.500
3 Pd 0.002 0.336 0.000
4 Pd 0.166 0.834 0.500

Largest 6 diffraction maxima, sorted by position, 10° ≤ 2θ ≤ 90°:
d 2.323, 2θ = 38.76°, intensity 1000, hkl 3 0 1; d 2.024, 2θ = 44.78°, intensity 165, hkl 0 0 2; d 2.006, 2θ = 45.20°, intensity 319, hkl 3 3 0; d 1.425, 2θ = 65.52°, intensity 203, hkl 3 3 2; d 1.218, 2θ = 78.50°, intensity 120, hkl 3 0 3; d 1.211, 2θ = 79.10°, intensity 233, hkl 6 3 1


Record 3
Computed powder XRD pattern
Compound: SrAs4P
Radiation: Cu Kα (λ = 1.5418 Å)
Structure: a PBE-relaxed structure

Structure:
abc: 8.120 8.120 8.120
angles: 90.00 90.00 90.00
Space group F-43m (No. 216)
Symmetry-distinct sites (fractional):
1 Sr 0.000 0.000 0.000
2 As 0.114 0.114 0.614
3 P 0.250 0.250 0.250

Largest 6 diffraction maxima, sorted by position, 10° ≤ 2θ ≤ 90°:
d 4.688, 2θ = 18.93°, intensity 167, hkl 1 1 1; d 2.871, 2θ = 31.15°, intensity 224, hkl 2 2 0; d 2.448, 2θ = 36.71°, intensity 1000, hkl 3 1 1; d 2.344, 2θ = 38.40°, intensity 508, hkl 2 2 2; d 1.563, 2θ = 59.12°, intensity 402, hkl 5 1 1; d 1.435, 2θ = 64.97°, intensity 277, hkl 4 4 0